[1]
# PrUCo
Computed XRD peak list, Cu Kα, 1.54184 Å. Input: the GGA-PBE geometry in Alexandria.

Atomic structure:
Unit cell a=7.3024 b=5.8446 c=3.4565 alpha=90.00 beta=90.00 gamma=90.00
Space group Pmma (No. 51)
Inequivalent atoms, fractional coordinates:
Pr  0.2500  0.0000  0.2218
U  0.0000  0.5000  0.5000
Co  0.2500  0.5000  0.9739

Top 6 peaks for 2θ = 10–90°, by angle:
Position (°2θ), I/Imax, (hkl)
15.2, 51, 0 1 0
28.8, 100, 2 1 0
30.6, 86, 0 2 0
35.8, 60, 2 0 1
39.1, 67, 2 1 1
47.8, 53, 2 2 1



[2]
# Pr12YCo6
Computed XRD peak list, Cu Kα, 1.54184 Å. Input: the GGA-PBE geometry in Alexandria.

Atomic structure:
Unit cell a=10.1785 b=10.1785 c=10.1785 alpha=90.00 beta=90.00 gamma=90.00
Space group Im-3 (No. 204)
Inequivalent atoms, fractional coordinates:
Pr  0.0000  0.3106  0.1949
Y  0.0000  0.0000  0.0000
Co  0.0000  0.1102  0.5000

Top 6 peaks for 2θ = 10–90°, by angle:
Position (°2θ), I/Imax, (hkl)
27.7, 49, 3 0 1
30.4, 49, 2 2 2
32.9, 100, 3 1 2
45.4, 28, 5 0 1
52.4, 37, 5 3 0
55.7, 37, 5 2 3



[3]
# Pr4YCo4
Computed XRD peak list, Cu Kα, 1.54184 Å. Input: the GGA-PBE geometry in Alexandria.

Atomic structure:
Unit cell a=8.5974 b=8.5974 c=5.8389 alpha=90.00 beta=90.00 gamma=90.00
Space group P4_2/n (No. 86, origin choice 2)
Inequivalent atoms, fractional coordinates:
Pr  0.0545  0.6769  0.1291
Y  0.2500  0.2500  0.2500
Co  0.0110  0.6128  0.6037

Top 6 peaks for 2θ = 10–90°, by angle:
Position (°2θ), I/Imax, (hkl)
27.8, 64, 2 1 1
32.4, 59, 1 0 2
32.9, 100, 1 3 0
38.7, 40, 1 2 2
47.3, 28, 4 2 0
49.3, 34, 2 3 2



[4]
# Pr2YCo
Computed XRD peak list, Cu Kα, 1.54184 Å. Input: the GGA-PBE geometry in Alexandria.

Atomic structure:
Unit cell a=7.1159 b=10.0164 c=6.3056 alpha=90.00 beta=90.00 gamma=90.00
Space group Pnma (No. 62)
Inequivalent atoms, fractional coordinates:
Pr  0.1751  0.0706  0.1751
Y  0.0431  0.2500  0.6559
Co  0.1172  0.7500  0.9455

Top 6 peaks for 2θ = 10–90°, by angle:
Position (°2θ), I/Imax, (hkl)
30.3, 100, 0 3 1
30.8, 38, 2 2 0
31.0, 42, 1 0 2
32.3, 45, 1 1 2
32.9, 49, 1 3 1
34.0, 58, 2 2 1



Number 3 is which compound?
Pr4YCo4



What is the formula in the fourth record?
Pr2YCo



Number 2 is which compound?
Pr12YCo6